Structure and calculated powder XRD pattern of Li2B4O7 (a crystal structure in the Materials Project, relaxed with PBE; Cu Kα (weighted mean of Kα1 and Kα2)).
Lines closer than 0.1° are merged.

Crystal structure
a = 8.6679 Å, b = 8.6679 Å, c = 8.6679 Å
α = 112.86°, β = 112.86°, γ = 102.88°
Sites, in units of the cell vectors:
Li (0.0852, 0.4306, 0.0157)
Li (0.1806, 0.6648, 0.8454)
Li (0.3194, 0.1648, 0.4843)
Li (0.4148, 0.0694, 0.9843)
Li (0.5852, 0.5694, 0.6546)
Li (0.6806, 0.8352, 0.5157)
Li (0.8194, 0.3352, 0.1546)
Li (0.9148, 0.9306, 0.3454)
B (0.0502, 0.1162, 0.1608)
B (0.0542, 0.8064, 0.0899)
B (0.0564, 0.8042, 0.5899)
B (0.1394, 0.7054, 0.3392)
B (0.2144, 0.4665, 0.4101)
B (0.2165, 0.3064, 0.7522)
B (0.3662, 0.8002, 0.6608)
B (0.4554, 0.6162, 0.0660)
B (0.5502, 0.3894, 0.9340)
B (0.5542, 0.4644, 0.2478)
B (0.5564, 0.9665, 0.2522)
B (0.6394, 0.3002, 0.4340)
B (0.7144, 0.3042, 0.7478)
B (0.7165, 0.9644, 0.9101)
B (0.8662, 0.2054, 0.5660)
B (0.9554, 0.8894, 0.8392)
O (0.0064, 0.7580, 0.9002)
O (0.0080, 0.7564, 0.4002)
O (0.0388, 0.1901, 0.5937)
O (0.0604, 0.9694, 0.2170)
O (0.0797, 0.0797, 0.0000)
O (0.0935, 0.5024, 0.2830)
O (0.0964, 0.6901, 0.1514)
O (0.1951, 0.2888, 0.3486)
O (0.2194, 0.8104, 0.7170)
O (0.2524, 0.4694, 0.9090)
O (0.3297, 0.8297, 0.5000)
O (0.3562, 0.6078, 0.5998)
O (0.3578, 0.2580, 0.7516)
O (0.4401, 0.7888, 0.0937)
O (0.5064, 0.6062, 0.2484)
O (0.5080, 0.1078, 0.2516)
O (0.5388, 0.9451, 0.8486)
O (0.5604, 0.3435, 0.0910)
O (0.5797, 0.5797, 0.0000)
O (0.5935, 0.3104, 0.5910)
O (0.5964, 0.4451, 0.4063)
O (0.6951, 0.3464, 0.9063)
O (0.7194, 0.0024, 0.4090)
O (0.7524, 0.8435, 0.7830)
O (0.8297, 0.3297, 0.5000)
O (0.8562, 0.2564, 0.7484)
O (0.8578, 0.1062, 0.0998)
O (0.9401, 0.8464, 0.6514)

Main lines, by angle (2θ from 10° to 80°):
2θ/deg  I_rel
21.03  1000
24.83  315
32.47  317
33.91  354
42.23  111
54.69  111

=====

Structure and calculated powder XRD pattern of ZrSn (a crystal structure in the Materials Project, relaxed with PBE; Cu Kα (weighted mean of Kα1 and Kα2)).
Lines closer than 0.1° are merged.

Crystal structure
a = 5.3249 Å, b = 12.6981 Å, c = 5.5963 Å
α = 90.00°, β = 90.00°, γ = 90.00°
Sites, in units of the cell vectors:
Zr (0.2500, 0.0029, 0.1574)
Zr (0.2500, 0.1318, 0.6671)
Zr (0.2500, 0.3682, 0.6671)
Zr (0.2500, 0.4971, 0.1574)
Zr (0.7500, 0.5029, 0.8426)
Zr (0.7500, 0.6318, 0.3329)
Zr (0.7500, 0.8682, 0.3329)
Zr (0.7500, 0.9971, 0.8426)
Sn (0.2500, 0.2500, 0.1725)
Sn (0.2500, 0.6027, 0.6686)
Sn (0.2500, 0.7500, 0.2129)
Sn (0.2500, 0.8973, 0.6686)
Sn (0.7500, 0.1027, 0.3314)
Sn (0.7500, 0.2500, 0.7871)
Sn (0.7500, 0.3973, 0.3314)
Sn (0.7500, 0.7500, 0.8275)

Main lines, by angle (2θ from 10° to 80°):
2θ/deg  I_rel
32.42  193
33.66  449
36.27  480
36.66  1000
62.17  215
68.11  188

=====

Structure and calculated powder XRD pattern of MgTeI6O6 (a crystal structure in the Materials Project, relaxed with PBE; Cu Kα (weighted mean of Kα1 and Kα2)).
Lines closer than 0.1° are merged.

Crystal structure
a = 11.2365 Å, b = 11.2545 Å, c = 11.2630 Å
α = 89.97°, β = 89.98°, γ = 89.87°
Sites, in units of the cell vectors:
Mg (0.0000, 0.0000, 0.0000)
Mg (0.9999, 0.5000, 0.4992)
Mg (0.5000, 0.9997, 0.4997)
Mg (0.4999, 0.5000, 0.0001)
Te (0.0004, 0.4999, 0.9995)
Te (0.9995, 0.9993, 0.4979)
Te (0.4993, 0.5004, 0.5006)
Te (0.5006, 0.0002, 0.0011)
I (0.0206, 0.7307, 0.8150)
I (0.0229, 0.7726, 0.3141)
I (0.1830, 0.5230, 0.2276)
I (0.1866, 0.9797, 0.7297)
I (0.2263, 0.1822, 0.4763)
I (0.2300, 0.3151, 0.9794)
I (0.2704, 0.6815, 0.4796)
I (0.2704, 0.8158, 0.9822)
I (0.3151, 0.4816, 0.7314)
I (0.3169, 0.0218, 0.2292)
I (0.4797, 0.2294, 0.8143)
I (0.4795, 0.2705, 0.3170)
I (0.5209, 0.7304, 0.6846)
I (0.5248, 0.7736, 0.1845)
I (0.6817, 0.5203, 0.2699)
I (0.6862, 0.9800, 0.7695)
I (0.7274, 0.1830, 0.0221)
I (0.7305, 0.3164, 0.5201)
I (0.7710, 0.6816, 0.0197)
I (0.7708, 0.8156, 0.5185)
I (0.8152, 0.4808, 0.7696)
I (0.8161, 0.0233, 0.2710)
I (0.9790, 0.2715, 0.1835)
I (0.9808, 0.2302, 0.6860)
O (0.0596, 0.1432, 0.1072)
O (0.0617, 0.3578, 0.6088)
O (0.1076, 0.4415, 0.3555)
O (0.1090, 0.0584, 0.8584)
O (0.1414, 0.6071, 0.5604)
O (0.1411, 0.8911, 0.0627)
O (0.3556, 0.1084, 0.5575)
O (0.3582, 0.3911, 0.0602)
O (0.3919, 0.9401, 0.3573)
O (0.3927, 0.5614, 0.8591)
O (0.4392, 0.8574, 0.6071)
O (0.4436, 0.6453, 0.1096)
O (0.5607, 0.1423, 0.3930)
O (0.5608, 0.3571, 0.8909)
O (0.6065, 0.4386, 0.1420)
O (0.6080, 0.0594, 0.6415)
O (0.6415, 0.6078, 0.9391)
O (0.6419, 0.8910, 0.4375)
O (0.8562, 0.1083, 0.9409)
O (0.8590, 0.3914, 0.4387)
O (0.8912, 0.9419, 0.1428)
O (0.8918, 0.5601, 0.6409)
O (0.9389, 0.8580, 0.8920)
O (0.9421, 0.6447, 0.3902)

Main lines, by angle (2θ from 10° to 80°):
2θ/deg  I_rel
19.32  577
27.46  1000
29.71  590
31.81  334
33.79  264
40.89  210